This entry pairs a crystal structure of Sr2MnGaO5F with its simulated XRD peak list. Radiation: Cu Kα, 1.54184 Å. Structure: a DFT-relaxed cell (GGA+U, Alexandria).
Neutral-atom scattering factors, no anomalous dispersion.

Largest 6 diffraction maxima, by angle, 2θ = 15–90°:
(hkl), 2θ (°), I (rel.)
1 1 0, 32.0, 100
1 0 2, 32.6, 49
0 2 0, 45.1, 21
1 2 2, 56.7, 20
2 1 2, 57.8, 35
2 2 0, 67.0, 23

Structural model:
Cell: 3.8878 4.0228 7.7690 Å, 90.00 90.00 90.00°
Space group Pmmm (No. 47)
Unique sites:
Sr 0.0000 0.0000 0.2353 x2
Mn 0.5000 0.5000 0.0000 x1
Ga 0.5000 0.5000 0.5000 x1
O 0.0000 0.5000 0.0000 x1
O 0.0000 0.5000 0.5000 x1
O 0.5000 0.0000 0.0000 x1
O 0.5000 0.5000 0.2496 x2
F 0.5000 0.0000 0.5000 x1

---

This entry pairs a crystal structure of RbMn2GaF8 with its simulated XRD peak list. Radiation: Cu Kα, 1.54184 Å. Structure: a DFT-relaxed cell (GGA+U, Alexandria).
Neutral-atom scattering factors, no anomalous dispersion.

Largest 6 diffraction maxima, by angle, 2θ = 15–90°:
(hkl), 2θ (°), I (rel.)
1 1 0, 22.8, 100
1 -1 0, 27.0, 70
0 1 2, 28.4, 92
0 1 -2, 32.2, 51
1 -1 2, 36.8, 22
1 -1 4, 58.0, 21

Structural model:
Cell: 5.1577 5.1804 7.4023 Å, 81.33 81.40 79.56°
Space group P-1 (No. 2)
Unique sites:
Rb 0.0000 0.0000 0.0000 x1
Mn 0.4490 0.4495 0.2352 x2
Ga 0.0000 0.0000 0.5000 x1
F 0.1972 0.7785 0.6867 x2
F 0.2211 0.8014 0.3142 x2
F 0.2449 0.2425 0.4596 x2
F 0.3414 0.3417 0.9971 x2